Entry 1:
Structure and simulated X-ray powder pattern of KTeIO9 (a structure optimized by DFT (PBE); copper Kα).
Kinematic intensities with the Lorentz-polarization factor, no thermal factor.

Principal peaks in the range 2θ = 10–90°, low angle first:
| d (Å) | Position (°2θ) | intensity |
| --- | --- | --- |
| 5.464 | 16.22 | 16 |
| 5.079 | 17.46 | 38 |
| 4.320 | 20.56 | 22 |
| 4.131 | 21.51 | 32 |
| 3.905 | 22.77 | 100 |
| 3.505 | 25.41 | 26 |
| 3.262 | 27.34 | 37 |
| 2.897 | 30.87 | 21 |
| 2.671 | 33.55 | 20 |
| 2.545 | 35.26 | 19 |
| 2.093 | 43.23 | 18 |
| 2.043 | 44.34 | 14 |

Crystal structure
Cell lengths 8.6416, 14.1050, 7.0104 Å; angles 90.00, 90.00, 90.00 degrees
Fractional positions:
K (0.2120, 0.0887, 0.0000)
K (0.2880, 0.5887, 0.5000)
K (0.7120, 0.4113, 0.0000)
K (0.7880, 0.9113, 0.5000)
Te (0.2152, 0.4148, 0.9805)
Te (0.2848, 0.9148, 0.4805)
Te (0.7152, 0.0852, 0.9805)
Te (0.7848, 0.5852, 0.4805)
I (0.1328, 0.2457, 0.5037)
I (0.3672, 0.7457, 0.0037)
I (0.6328, 0.2543, 0.5037)
I (0.8672, 0.7543, 0.0037)
O (0.0124, 0.3675, 0.9295)
O (0.0505, 0.1585, 0.6723)
O (0.0796, 0.1968, 0.2701)
O (0.0897, 0.9690, 0.5522)
O (0.1312, 0.5235, 0.8448)
O (0.1697, 0.6949, 0.0227)
O (0.1871, 0.4526, 0.2484)
O (0.2197, 0.8733, 0.2273)
O (0.2223, 0.8084, 0.6473)
O (0.2777, 0.3084, 0.1473)
O (0.2803, 0.3733, 0.7273)
O (0.3129, 0.9526, 0.7484)
O (0.3303, 0.1949, 0.5227)
O (0.3688, 0.0235, 0.3448)
O (0.4103, 0.4690, 0.0522)
O (0.4204, 0.6968, 0.7701)
O (0.4495, 0.6585, 0.1723)
O (0.4876, 0.8675, 0.4295)
O (0.5124, 0.1325, 0.9295)
O (0.5505, 0.3415, 0.6723)
O (0.5796, 0.3032, 0.2701)
O (0.5897, 0.5310, 0.5522)
O (0.6312, 0.9765, 0.8448)
O (0.6697, 0.8051, 0.0227)
O (0.6871, 0.0474, 0.2484)
O (0.7197, 0.6267, 0.2273)
O (0.7223, 0.6916, 0.6473)
O (0.7777, 0.1916, 0.1473)
O (0.7803, 0.1267, 0.7273)
O (0.8129, 0.5474, 0.7484)
O (0.8303, 0.3051, 0.5227)
O (0.8688, 0.4765, 0.3448)
O (0.9103, 0.0310, 0.0522)
O (0.9204, 0.8032, 0.7701)
O (0.9495, 0.8415, 0.1723)
O (0.9876, 0.6325, 0.4295)

=====

Entry 2:
Structure and simulated X-ray powder pattern of K4Ti4I12O (a structure optimized by DFT (PBE); copper Kα).
Kinematic intensities with the Lorentz-polarization factor, no thermal factor.

Principal peaks in the range 2θ = 10–90°, low angle first:
| d (Å) | Position (°2θ) | intensity |
| --- | --- | --- |
| 7.069 | 12.52 | 27 |
| 3.789 | 23.48 | 27 |
| 3.469 | 25.68 | 31 |
| 3.102 | 28.78 | 51 |
| 2.999 | 29.79 | 100 |
| 2.476 | 36.29 | 14 |
| 2.195 | 41.12 | 14 |
| 2.059 | 43.98 | 26 |
| 2.054 | 44.09 | 14 |
| 1.771 | 51.62 | 16 |
| 1.742 | 52.55 | 13 |
| 1.713 | 53.51 | 17 |

Crystal structure
Cell lengths 10.6359, 10.6359, 10.6359 Å; angles 98.58, 98.58, 134.56 degrees
Fractional positions:
K (0.0843, 0.3187, 0.4030)
K (0.3187, 0.9157, 0.2344)
K (0.6813, 0.0843, 0.7656)
K (0.9157, 0.6813, 0.5970)
Ti (0.3585, 0.5286, 0.8871)
Ti (0.4714, 0.3585, 0.8300)
Ti (0.5286, 0.6415, 0.1700)
Ti (0.6415, 0.4714, 0.1129)
I (0.0845, 0.1422, 0.7105)
I (0.1422, 0.4316, 0.0576)
I (0.1506, 0.5628, 0.7134)
I (0.3740, 0.0845, 0.9424)
I (0.4316, 0.3740, 0.2895)
I (0.4372, 0.1506, 0.5878)
I (0.5628, 0.8494, 0.4122)
I (0.5684, 0.6260, 0.7105)
I (0.6260, 0.9155, 0.0576)
I (0.8494, 0.4372, 0.2866)
I (0.8578, 0.5684, 0.9424)
I (0.9155, 0.8578, 0.2895)
O (0.5000, 0.5000, 0.0000)

=====

Entry 3:
Structure and simulated X-ray powder pattern of KZnI3O2 (a structure optimized by DFT (PBE); copper Kα).
Kinematic intensities with the Lorentz-polarization factor, no thermal factor.

Principal peaks in the range 2θ = 10–90°, low angle first:
| d (Å) | Position (°2θ) | intensity |
| --- | --- | --- |
| 6.073 | 14.59 | 53 |
| 4.138 | 21.47 | 48 |
| 4.100 | 21.68 | 31 |
| 3.782 | 23.53 | 100 |
| 3.600 | 24.73 | 95 |
| 3.439 | 25.90 | 65 |
| 3.143 | 28.39 | 38 |
| 3.008 | 29.70 | 42 |
| 2.416 | 37.21 | 28 |
| 2.217 | 40.69 | 57 |
| 2.064 | 43.86 | 26 |
| 2.006 | 45.20 | 30 |

Crystal structure
Cell lengths 7.7422, 9.7922, 14.4986 Å; angles 90.00, 90.00, 90.00 degrees
Fractional positions:
K (0.1170, 0.0333, 0.0893)
K (0.3830, 0.9667, 0.5893)
K (0.6170, 0.4667, 0.9107)
K (0.8830, 0.5333, 0.4107)
Zn (0.1817, 0.4633, 0.0901)
Zn (0.3183, 0.5367, 0.5901)
Zn (0.6817, 0.0367, 0.9099)
Zn (0.8183, 0.9633, 0.4099)
I (0.1042, 0.3465, 0.9377)
I (0.1523, 0.3318, 0.2401)
I (0.1666, 0.3085, 0.5807)
I (0.3334, 0.6915, 0.0807)
I (0.3477, 0.6682, 0.7401)
I (0.3958, 0.6535, 0.4377)
I (0.6042, 0.1535, 0.0623)
I (0.6523, 0.1682, 0.7599)
I (0.6666, 0.1915, 0.4193)
I (0.8334, 0.8085, 0.9193)
I (0.8477, 0.8318, 0.2599)
I (0.8958, 0.8465, 0.5623)
O (0.2164, 0.0236, 0.3793)
O (0.2170, 0.0139, 0.8065)
O (0.2830, 0.9861, 0.3065)
O (0.2836, 0.9764, 0.8793)
O (0.7164, 0.4764, 0.6207)
O (0.7170, 0.4861, 0.1935)
O (0.7830, 0.5139, 0.6935)
O (0.7836, 0.5236, 0.1207)

=====

Entry 4:
Structure and simulated X-ray powder pattern of K4P21I (a structure optimized by DFT (PBE); copper Kα).
Kinematic intensities with the Lorentz-polarization factor, no thermal factor.

Principal peaks in the range 2θ = 10–90°, low angle first:
| d (Å) | Position (°2θ) | intensity |
| --- | --- | --- |
| 6.694 | 13.23 | 38 |
| 5.542 | 15.99 | 76 |
| 4.943 | 17.95 | 27 |
| 3.999 | 22.23 | 34 |
| 3.906 | 22.77 | 74 |
| 3.672 | 24.24 | 33 |
| 3.216 | 27.74 | 46 |
| 3.188 | 27.99 | 28 |
| 3.167 | 28.18 | 100 |
| 3.054 | 29.24 | 62 |
| 2.602 | 34.46 | 35 |
| 2.470 | 36.37 | 25 |

Crystal structure
Cell lengths 12.8582, 12.8582, 9.8835 Å; angles 90.00, 90.00, 62.74 degrees
Fractional positions:
K (0.0684, 0.7538, 0.7500)
K (0.2462, 0.9316, 0.7500)
K (0.3791, 0.3791, 0.0000)
K (0.3791, 0.3791, 0.5000)
K (0.6209, 0.6209, 0.0000)
K (0.6209, 0.6209, 0.5000)
K (0.7538, 0.0684, 0.2500)
K (0.9316, 0.2462, 0.2500)
P (0.0080, 0.6895, 0.0757)
P (0.0080, 0.6895, 0.4243)
P (0.0396, 0.9604, 0.2500)
P (0.0564, 0.5058, 0.7500)
P (0.0592, 0.4987, 0.0843)
P (0.0592, 0.4987, 0.4157)
P (0.1180, 0.2320, 0.7500)
P (0.1458, 0.8542, 0.0864)
P (0.1458, 0.8542, 0.4136)
P (0.1804, 0.6712, 0.1351)
P (0.1804, 0.6712, 0.3649)
P (0.2088, 0.3371, 0.7500)
P (0.2320, 0.1180, 0.2500)
P (0.3105, 0.9920, 0.0757)
P (0.3105, 0.9920, 0.4243)
P (0.3288, 0.8196, 0.1351)
P (0.3288, 0.8196, 0.3649)
P (0.3371, 0.2088, 0.2500)
P (0.4942, 0.9436, 0.7500)
P (0.4987, 0.0592, 0.5843)
P (0.4987, 0.0592, 0.9157)
P (0.5013, 0.9408, 0.0843)
P (0.5013, 0.9408, 0.4157)
P (0.5058, 0.0564, 0.2500)
P (0.6629, 0.7912, 0.7500)
P (0.6712, 0.1804, 0.6351)
P (0.6712, 0.1804, 0.8649)
P (0.6895, 0.0080, 0.5757)
P (0.6895, 0.0080, 0.9243)
P (0.7680, 0.8820, 0.7500)
P (0.7912, 0.6629, 0.2500)
P (0.8196, 0.3288, 0.6351)
P (0.8196, 0.3288, 0.8649)
P (0.8542, 0.1458, 0.5864)
P (0.8542, 0.1458, 0.9136)
P (0.8820, 0.7680, 0.2500)
P (0.9408, 0.5013, 0.5843)
P (0.9408, 0.5013, 0.9157)
P (0.9436, 0.4942, 0.2500)
P (0.9604, 0.0396, 0.7500)
P (0.9920, 0.3105, 0.5757)
P (0.9920, 0.3105, 0.9243)
I (0.3991, 0.6009, 0.7500)
I (0.6009, 0.3991, 0.2500)

=====

Entry 5:
Structure and simulated X-ray powder pattern of K3PrI6 (a structure optimized by DFT (PBE); copper Kα).
Kinematic intensities with the Lorentz-polarization factor, no thermal factor.

Principal peaks in the range 2θ = 10–90°, low angle first:
| d (Å) | Position (°2θ) | intensity |
| --- | --- | --- |
| 7.485 | 11.82 | 18 |
| 6.482 | 13.66 | 63 |
| 3.743 | 23.77 | 79 |
| 3.241 | 27.52 | 100 |
| 2.899 | 30.84 | 35 |
| 2.292 | 39.31 | 74 |
| 2.161 | 41.81 | 19 |
| 1.954 | 46.46 | 36 |
| 1.871 | 48.66 | 26 |
| 1.487 | 62.45 | 14 |
| 1.449 | 64.26 | 32 |
| 1.323 | 71.27 | 24 |

Crystal structure
Cell lengths 9.1672, 9.1672, 9.1672 Å; angles 60.00, 60.00, 60.00 degrees
Fractional positions:
K (0.0000, 0.0000, 0.0000)
K (0.2500, 0.2500, 0.2500)
K (0.7500, 0.7500, 0.7500)
Pr (0.5000, 0.5000, 0.5000)
I (0.2592, 0.2592, 0.7408)
I (0.2592, 0.7408, 0.2592)
I (0.2592, 0.7408, 0.7408)
I (0.7408, 0.2592, 0.2592)
I (0.7408, 0.2592, 0.7408)
I (0.7408, 0.7408, 0.2592)

=====

Copy entry 2 word for word.
Structure and simulated X-ray powder pattern of K4Ti4I12O (a structure optimized by DFT (PBE); copper Kα).
Kinematic intensities with the Lorentz-polarization factor, no thermal factor.

Principal peaks in the range 2θ = 10–90°, low angle first:
| d (Å) | Position (°2θ) | intensity |
| --- | --- | --- |
| 7.069 | 12.52 | 27 |
| 3.789 | 23.48 | 27 |
| 3.469 | 25.68 | 31 |
| 3.102 | 28.78 | 51 |
| 2.999 | 29.79 | 100 |
| 2.476 | 36.29 | 14 |
| 2.195 | 41.12 | 14 |
| 2.059 | 43.98 | 26 |
| 2.054 | 44.09 | 14 |
| 1.771 | 51.62 | 16 |
| 1.742 | 52.55 | 13 |
| 1.713 | 53.51 | 17 |

Crystal structure
Cell lengths 10.6359, 10.6359, 10.6359 Å; angles 98.58, 98.58, 134.56 degrees
Fractional positions:
K (0.0843, 0.3187, 0.4030)
K (0.3187, 0.9157, 0.2344)
K (0.6813, 0.0843, 0.7656)
K (0.9157, 0.6813, 0.5970)
Ti (0.3585, 0.5286, 0.8871)
Ti (0.4714, 0.3585, 0.8300)
Ti (0.5286, 0.6415, 0.1700)
Ti (0.6415, 0.4714, 0.1129)
I (0.0845, 0.1422, 0.7105)
I (0.1422, 0.4316, 0.0576)
I (0.1506, 0.5628, 0.7134)
I (0.3740, 0.0845, 0.9424)
I (0.4316, 0.3740, 0.2895)
I (0.4372, 0.1506, 0.5878)
I (0.5628, 0.8494, 0.4122)
I (0.5684, 0.6260, 0.7105)
I (0.6260, 0.9155, 0.0576)
I (0.8494, 0.4372, 0.2866)
I (0.8578, 0.5684, 0.9424)
I (0.9155, 0.8578, 0.2895)
O (0.5000, 0.5000, 0.0000)